This entry pairs a crystal structure of Pm12Cd6Co with its calculated powder diffractogram. Radiation: Cu Kα (λ = 1.5418 Å). Structure: a cell relaxed with PBE.
Neutral-atom scattering factors, no anomalous dispersion.

Crystal structure
a b c (Å): 12.3922 12.3922 13.2941
angles (deg): 90.00 90.00 120.00
Space group R-3 (No. 148, hexagonal axes)
Symmetry-distinct sites (fractional):
Pm  0.0381  0.1855  0.3742 x18
Pm  0.0381  0.8505  0.8882 x18
Cd  0.0028  0.6022  0.7574 x18
Co  0.0000  0.0000  0.5000 x3

Largest 12 diffraction maxima, in order of rising 2θ, 2θ = 10–80°:
28.11 deg, I = 57, (1 0 4); 28.82 deg, I = 20, (2 2 0); 30.78 deg, I = 100, (1 3 1); 32.97 deg, I = 46, (4 -1 2); 34.90 deg, I = 23, (3 -1 4); 35.35 deg, I = 76, (2 2 3); 40.57 deg, I = 20, (3 -2 5); 47.67 deg, I = 12, (6 -1 1); 57.54 deg, I = 28, (1 3 7); 62.13 deg, I = 12, (5 3 2); 64.16 deg, I = 12, (4 -1 8); 67.19 deg, I = 17, (6 1 5)

This entry pairs a crystal structure of Tb2Zn12Ag5 with its calculated powder diffractogram. Radiation: Cu Kα (λ = 1.5418 Å). Structure: a cell relaxed with PBE.
Neutral-atom scattering factors, no anomalous dispersion.

Crystal structure
a b c (Å): 9.2108 9.2108 13.4207
angles (deg): 90.00 90.00 120.00
Space group R-3m (No. 166, hexagonal axes)
Symmetry-distinct sites (fractional):
Tb  0.0000  0.0000  0.1588 x6
Zn  0.0000  0.3034  0.5000 x18
Zn  0.0144  0.5072  0.6543 x18
Ag  0.0000  0.0000  0.3964 x6
Ag  0.0000  0.5000  0.0000 x9

Largest 12 diffraction maxima, in order of rising 2θ, 2θ = 10–80°:
27.80 deg, I = 25, (1 1 3); 33.71 deg, I = 46, (3 0 0); 34.95 deg, I = 20, (0 2 4); 39.12 deg, I = 83, (2 2 0); 39.42 deg, I = 100, (0 3 3); 40.21 deg, I = 29, (2 1 4); 40.32 deg, I = 35, (0 0 6); 40.51 deg, I = 28, (2 0 5); 44.24 deg, I = 47, (2 2 3); 57.41 deg, I = 28, (2 2 6); 70.88 deg, I = 26, (6 0 0); 72.70 deg, I = 25, (0 3 9)

This entry pairs a crystal structure of Na3Li with its calculated powder diffractogram. Radiation: Cu Kα (λ = 1.5418 Å). Structure: a cell relaxed with PBE.
Neutral-atom scattering factors, no anomalous dispersion.

Crystal structure
a b c (Å): 5.069 5.069 5.069
angles (deg): 90.00 90.00 90.00
Space group Pm-3m (No. 221)
Symmetry-distinct sites (fractional):
Na  0.000  0.000  0.500 x3
Li  0.500  0.500  0.500 x1

Largest 12 diffraction maxima, in order of rising 2θ, 2θ = 10–80°:
17.49 deg, I = 17, (1 0 0); 24.84 deg, I = 15, (1 1 0); 30.54 deg, I = 100, (1 1 1); 35.41 deg, I = 50, (2 0 0); 39.76 deg, I = 9, (2 1 0); 43.74 deg, I = 6, (2 1 1); 50.95 deg, I = 33, (2 2 0); 54.29 deg, I = 4, (3 0 0); 60.58 deg, I = 37, (3 1 1); 63.58 deg, I = 10, (2 2 2); 69.36 deg, I = 3, (3 2 1); 74.93 deg, I = 4, (4 0 0)

This entry pairs a crystal structure of FeCuNi with its calculated powder diffractogram. Radiation: Cu Kα (λ = 1.5418 Å). Structure: a cell relaxed with PBE.
Neutral-atom scattering factors, no anomalous dispersion.

Crystal structure
a b c (Å): 2.515 2.515 10.879
angles (deg): 90.00 90.00 90.00
Space group P4/nmm (No. 129, origin choice 2)
Symmetry-distinct sites (fractional):
Fe  0.250  0.250  0.087 x2
Cu  0.250  0.250  0.415 x2
Ni  0.250  0.250  0.752 x2

Largest 5 diffraction maxima, in order of rising 2θ, 2θ = 10–80°:
43.80 deg, I = 100, (1 0 3); 50.32 deg, I = 16, (0 0 6); 51.38 deg, I = 30, (1 1 0); 74.77 deg, I = 18, (1 1 6); 75.62 deg, I = 9, (2 0 0)

This entry pairs a crystal structure of Y5CS5 with its calculated powder diffractogram. Radiation: Cu Kα (λ = 1.5418 Å). Structure: a cell relaxed with PBE.
Neutral-atom scattering factors, no anomalous dispersion.

Crystal structure
a b c (Å): 12.324 5.460 7.680
angles (deg): 90.00 108.52 90.00
Space group C2/m (No. 12)
Symmetry-distinct sites (fractional):
Y  0.000  0.000  0.000 x2
Y  0.149  0.500  0.839 x4
Y  0.154  0.500  0.314 x4
C  0.000  0.500  0.000 x2
S  0.000  0.500  0.500 x2
S  0.169  0.000  0.836 x4
S  0.176  0.000  0.331 x4

Largest 12 diffraction maxima, in order of rising 2θ, 2θ = 10–80°:
12.15 deg, I = 13, (0 0 1); 28.14 deg, I = 26, (3 1 0); 28.42 deg, I = 27, (1 1 -2); 32.64 deg, I = 48, (4 0 -2); 32.83 deg, I = 100, (0 2 0); 46.64 deg, I = 15, (6 0 0); 46.96 deg, I = 33, (4 2 -2); 47.12 deg, I = 33, (2 2 2); 47.35 deg, I = 16, (2 0 -4); 58.19 deg, I = 15, (6 2 0); 58.80 deg, I = 17, (2 2 -4); 78.39 deg, I = 13, (2 4 2)

This entry pairs a crystal structure of YP2O2 with its calculated powder diffractogram. Radiation: Cu Kα (λ = 1.5418 Å). Structure: a cell relaxed with PBE.
Neutral-atom scattering factors, no anomalous dispersion.

Crystal structure
a b c (Å): 10.606 10.606 13.130
angles (deg): 90.00 90.00 90.00
Space group I4_1/amd (No. 141, origin choice 2)
Symmetry-distinct sites (fractional):
Y  0.000  0.000  0.000 x8
P  0.000  0.143  0.741 x16
O  0.000  0.056  0.840 x16

Largest 12 diffraction maxima, in order of rising 2θ, 2θ = 10–80°:
10.72 deg, I = 100, (1 0 1); 16.72 deg, I = 5, (2 0 0); 21.54 deg, I = 8, (2 0 2); 21.97 deg, I = 9, (1 0 3); 23.73 deg, I = 12, (2 2 0); 27.17 deg, I = 7, (0 0 4); 31.16 deg, I = 13, (3 2 1); 33.81 deg, I = 6, (4 0 0); 35.57 deg, I = 9, (4 1 1); 40.44 deg, I = 15, (4 2 2); 40.69 deg, I = 4, (4 1 3); 57.29 deg, I = 7, (4 2 6)

This entry pairs a crystal structure of PuCoAs3Rh2 with its calculated powder diffractogram. Radiation: Cu Kα (λ = 1.5418 Å). Structure: a cell relaxed with PBE.
Neutral-atom scattering factors, no anomalous dispersion.

Crystal structure
a b c (Å): 6.3297 6.3297 22.3676
angles (deg): 90.00 90.00 120.00
Space group R-3m (No. 166, hexagonal axes)
Symmetry-distinct sites (fractional):
Pu  0.0000  0.0000  0.2256 x6
Co  0.0000  0.0000  0.1251 x6
As  0.0291  0.5146  0.2533 x18
Rh  0.0000  0.0000  0.5000 x3
Rh  0.0000  0.5000  0.0000 x9

Largest 12 diffraction maxima, in order of rising 2θ, 2θ = 10–80°:
18.02 deg, I = 36, (0 1 2); 28.20 deg, I = 31, (1 1 0); 30.69 deg, I = 67, (1 1 3); 32.43 deg, I = 27, (1 0 7); 33.67 deg, I = 22, (2 0 2); 36.51 deg, I = 100, (0 2 4); 46.40 deg, I = 63, (2 0 8); 47.70 deg, I = 27, (0 1 11); 51.49 deg, I = 17, (0 3 3); 52.65 deg, I = 25, (2 1 7); 58.31 deg, I = 41, (2 2 0); 64.17 deg, I = 15, (1 2 11)

This entry pairs a crystal structure of SmDy3S6 with its calculated powder diffractogram. Radiation: Cu Kα (λ = 1.5418 Å). Structure: a cell relaxed with PBE.
Neutral-atom scattering factors, no anomalous dispersion.

Crystal structure
a b c (Å): 11.063 3.977 11.340
angles (deg): 90.00 108.66 90.00
Space group P2_1/m (No. 11)
Symmetry-distinct sites (fractional):
Sm  0.046  0.250  0.192 x2
Dy  0.161  0.250  0.585 x2
Dy  0.319  0.750  0.997 x2
Dy  0.436  0.250  0.332 x2
S  0.082  0.750  0.404 x2
S  0.115  0.250  0.963 x2
S  0.194  0.750  0.749 x2
S  0.259  0.750  0.225 x2
S  0.397  0.250  0.562 x2
S  0.478  0.250  0.112 x2

Largest 12 diffraction maxima, in order of rising 2θ, 2θ = 10–80°:
23.54 deg, I = 81, (1 0 -3); 24.13 deg, I = 100, (3 0 -1); 24.43 deg, I = 29, (1 1 -1); 26.23 deg, I = 62, (1 1 1); 27.31 deg, I = 46, (2 0 2); 27.58 deg, I = 50, (1 1 -2); 30.93 deg, I = 71, (2 1 1); 34.16 deg, I = 55, (3 1 0); 42.26 deg, I = 61, (4 1 -3); 43.76 deg, I = 41, (1 1 4); 45.61 deg, I = 51, (0 2 0); 46.24 deg, I = 33, (2 1 -5)

This entry pairs a crystal structure of CePmCdPb with its calculated powder diffractogram. Radiation: Cu Kα (λ = 1.5418 Å). Structure: a cell relaxed with PBE.
Neutral-atom scattering factors, no anomalous dispersion.

Crystal structure
a b c (Å): 5.065 5.065 8.941
angles (deg): 90.00 90.00 90.00
Space group I-4m2 (No. 119)
Symmetry-distinct sites (fractional):
Ce  0.000  0.000  0.000 x2
Pm  0.000  0.000  0.500 x2
Cd  0.000  0.500  0.250 x2
Pb  0.000  0.500  0.750 x2

Largest 12 diffraction maxima, in order of rising 2θ, 2θ = 10–80°:
20.15 deg, I = 6, (1 0 1); 32.02 deg, I = 100, (1 1 2); 34.93 deg, I = 2, (1 0 3); 35.44 deg, I = 38, (2 0 0); 40.35 deg, I = 13, (0 0 4); 41.10 deg, I = 2, (2 1 1); 50.99 deg, I = 14, (2 2 0); 54.77 deg, I = 22, (2 0 4); 61.49 deg, I = 31, (3 1 2); 66.95 deg, I = 12, (2 2 4); 68.15 deg, I = 11, (1 1 6); 75.00 deg, I = 4, (4 0 0)

This entry pairs a crystal structure of B7C5 with its calculated powder diffractogram. Radiation: Cu Kα (λ = 1.5418 Å). Structure: a cell relaxed with PBE.
Neutral-atom scattering factors, no anomalous dispersion.

Crystal structure
a b c (Å): 2.428 7.644 4.426
angles (deg): 90.00 90.00 90.00
Space group Pmm2 (No. 25)
Symmetry-distinct sites (fractional):
B  0.000  0.000  0.000 x1
B  0.000  0.180  0.729 x2
B  0.000  0.500  0.736 x1
B  0.500  0.171  0.427 x2
B  0.500  0.500  0.424 x1
C  0.000  0.330  0.993 x2
C  0.500  0.000  0.226 x1
C  0.500  0.337  0.185 x2

Largest 12 diffraction maxima, in order of rising 2θ, 2θ = 10–80°:
11.58 deg, I = 5, (0 1 0); 20.06 deg, I = 40, (0 0 1); 23.24 deg, I = 5, (0 2 0); 35.23 deg, I = 3, (0 3 0); 40.87 deg, I = 100, (0 3 1); 42.47 deg, I = 86, (1 0 1); 54.96 deg, I = 6, (0 3 2); 68.13 deg, I = 53, (1 3 2); 74.29 deg, I = 9, (0 3 3); 74.48 deg, I = 11, (0 6 0); 75.39 deg, I = 8, (1 0 3); 78.84 deg, I = 10, (2 0 0)

This entry pairs a crystal structure of KBaSbSe3 with its calculated powder diffractogram. Radiation: Cu Kα (λ = 1.5418 Å). Structure: a cell relaxed with PBE.
Neutral-atom scattering factors, no anomalous dispersion.

Crystal structure
a b c (Å): 9.728 9.394 9.546
angles (deg): 90.00 108.73 90.00
Space group P2_1/c (No. 14)
Symmetry-distinct sites (fractional):
K  0.074  0.101  0.208 x4
Ba  0.419  0.714  0.466 x4
Sb  0.250  0.044  0.628 x4
Se  0.149  0.713  0.100 x4
Se  0.232  0.103  0.885 x4
Se  0.470  0.012  0.278 x4

Largest 12 diffraction maxima, in order of rising 2θ, 2θ = 10–80°:
14.73 deg, I = 62, (1 1 -1); 18.41 deg, I = 29, (1 1 1); 26.36 deg, I = 32, (1 1 2); 26.84 deg, I = 42, (1 2 -2); 27.38 deg, I = 49, (0 2 2); 29.12 deg, I = 48, (3 1 -1); 29.67 deg, I = 100, (1 1 -3); 30.16 deg, I = 82, (1 3 0); 30.63 deg, I = 33, (3 1 0); 30.99 deg, I = 85, (3 1 -2); 38.32 deg, I = 42, (2 0 -4); 43.78 deg, I = 24, (4 2 0)

This entry pairs a crystal structure of MgZrAg3 with its calculated powder diffractogram. Radiation: Cu Kα (λ = 1.5418 Å). Structure: a cell relaxed with PBE.
Neutral-atom scattering factors, no anomalous dispersion.

Crystal structure
a b c (Å): 4.791 4.791 4.791
angles (deg): 90.00 90.00 90.00
Space group Pm-3m (No. 221)
Symmetry-distinct sites (fractional):
Mg  0.000  0.000  0.000 x1
Zr  0.500  0.500  0.500 x1
Ag  0.000  0.000  0.500 x3

Largest 8 diffraction maxima, in order of rising 2θ, 2θ = 10–80°:
18.52 deg, I = 4, (1 0 0); 32.36 deg, I = 100, (1 1 1); 37.54 deg, I = 63, (2 0 0); 42.17 deg, I = 2, (2 1 0); 54.14 deg, I = 42, (2 2 0); 57.72 deg, I = 1, (3 0 0); 64.50 deg, I = 38, (3 1 1); 67.75 deg, I = 14, (2 2 2)